# 1
This entry pairs a crystal structure of InCu2 with its theoretical powder X-ray diffraction pattern. Radiation: Cu Kα X-rays. Structure: a GGA-PBE-relaxed structure.
Lines closer than 0.1° are merged.

Peak list (10 most intense, 10° ≤ 2θ ≤ 90°, by angle)
two_theta, Rel. int.
25.60, 40.7
33.10, 41.8
41.97, 25.6
42.31, 100.0
49.81, 12.8
52.61, 25.6
63.58, 12.0
69.47, 21.1
76.91, 15.5
77.61, 7.6

Structure:
```
data_InCu2
_chemical_formula_sum 'In1 Cu2'
_cell_length_a 3.479
_cell_length_b 3.479
_cell_length_c 4.305
_cell_angle_alpha 90.00
_cell_angle_beta 90.00
_cell_angle_gamma 90.00
_symmetry_space_group_name_H-M 'P 4/m m m'
_symmetry_Int_Tables_number 123
_symmetry_space_group_name_Hall '-P 4 2'
loop_
_atom_site_label
_atom_site_type_symbol
_atom_site_fract_x
_atom_site_fract_y
_atom_site_fract_z
_atom_site_occupancy
In1 In 0.000 0.000 0.000 1
Cu1 Cu 0.000 0.500 0.500 1
```



# 2
This entry pairs a crystal structure of In7Cu3 with its theoretical powder X-ray diffraction pattern. Radiation: Cu Kα X-rays. Structure: a GGA-PBE-relaxed structure.
Lines closer than 0.1° are merged.

Peak list (10 most intense, 10° ≤ 2θ ≤ 90°, by angle)
two_theta, Rel. int.
29.52, 62.4
32.41, 48.2
35.09, 59.6
39.97, 100.0
42.23, 17.9
46.49, 18.2
56.03, 17.5
57.81, 19.6
59.55, 19.0
72.60, 36.9

Structure:
```
data_In7Cu3
_chemical_formula_sum 'In28 Cu12'
_cell_length_a 9.570
_cell_length_b 9.570
_cell_length_c 9.570
_cell_angle_alpha 90.00
_cell_angle_beta 90.00
_cell_angle_gamma 90.00
_symmetry_space_group_name_H-M 'I m -3 m'
_symmetry_Int_Tables_number 229
_symmetry_space_group_name_Hall '-I 4 2 3'
loop_
_atom_site_label
_atom_site_type_symbol
_atom_site_fract_x
_atom_site_fract_y
_atom_site_fract_z
_atom_site_occupancy
In1 In 0.000 0.250 0.500 1
In2 In 0.163 0.163 0.163 1
Cu1 Cu 0.000 0.000 0.351 1
```



# 3
This entry pairs a crystal structure of InCu6 with its theoretical powder X-ray diffraction pattern. Radiation: Cu Kα X-rays. Structure: a GGA-PBE-relaxed structure.
Lines closer than 0.1° are merged.

Peak list (10 most intense, 10° ≤ 2θ ≤ 90°, by angle)
two_theta, Rel. int.
35.82, 39.5
39.14, 80.0
39.31, 100.0
40.27, 77.5
40.59, 34.4
42.52, 43.6
43.60, 36.6
46.23, 40.6
47.42, 38.7
54.09, 28.6

Structure:
```
data_InCu6
_chemical_formula_sum 'In4 Cu24'
_cell_length_a 8.024
_cell_length_b 5.014
_cell_length_c 9.609
_cell_angle_alpha 90.00
_cell_angle_beta 90.00
_cell_angle_gamma 90.00
_symmetry_space_group_name_H-M 'P n m a'
_symmetry_Int_Tables_number 62
loop_
_symmetry_equiv_pos_as_xyz
'x,y,z'
'-x,-y,-z'
'-x+1/2,-y,z+1/2'
'x+1/2,y,-z+1/2'
'x+1/2,-y+1/2,-z+1/2'
'-x+1/2,y+1/2,z+1/2'
'-x,y+1/2,-z'
'x,-y+1/2,z'
loop_
_atom_site_label
_atom_site_type_symbol
_atom_site_fract_x
_atom_site_fract_y
_atom_site_fract_z
_atom_site_occupancy
In1 In 0.244 0.250 0.061 1
Cu1 Cu 0.055 0.008 0.302 1
Cu2 Cu 0.064 0.750 0.077 1
Cu3 Cu 0.109 0.250 0.522 1
Cu4 Cu 0.164 0.750 0.839 1
Cu5 Cu 0.191 0.250 0.773 1
```